Starting from a cell relaxed with GGA-PBE, the PXRD pattern of Ba7SiB3NO13 was computed for Cu Kα.
Intensities are scaled so that the largest is 100.

Largest 8 diffraction maxima, most intense first, 10 to 90 degrees two-theta:
- hkl 2 2 0, 2θ = 31.6°, I 100.0
- hkl 1 2 1, 2θ = 26.8°, I 99.0
- hkl 2 0 2, 2θ = 30.0°, I 90.9
- hkl 1 2 0, 2θ = 24.0°, I 63.9
- hkl 3 2 2, 2θ = 47.1°, I 52.0
- hkl 1 0 2, 2θ = 25.5°, I 46.3
- hkl 2 0 1, 2θ = 21.7°, I 46.2
- hkl 3 0 2, 2θ = 36.5°, I 39.6

Atomic structure:
Cell lengths 11.3375, 11.3375, 7.4791 Å; angles 90.00, 90.00, 120.00 degrees
Space group P6_3 (No. 173)
Asymmetric unit:
Ba 0.0468 0.5243 0.0000 x6
Ba 0.1244 0.8617 0.3424 x6
Ba 0.3333 0.6667 0.6383 x2
Si 0.3333 0.6667 0.2305 x2
B 0.1746 0.8142 0.7878 x6
N 0.0000 0.0000 0.1274 x2
O 0.0790 0.6888 0.7141 x6
O 0.1040 0.3987 0.6924 x6
O 0.1442 0.2941 0.9512 x6
O 0.1868 0.6432 0.3090 x6
O 0.3333 0.6667 0.0074 x2

Starting from a cell relaxed with GGA-PBE, the PXRD pattern of Tl2TeO6 was computed for Cu Kα.
Intensities are scaled so that the largest is 100.

Largest 8 diffraction maxima, most intense first, 10 to 90 degrees two-theta:
- hkl 1 1 1, 2θ = 26.0°, I 100.0
- hkl 0 3 2, 2θ = 49.4°, I 41.8
- hkl 3 0 0, 2θ = 33.4°, I 38.5
- hkl 0 2 1, 2θ = 28.3°, I 31.3
- hkl 3 2 1, 2θ = 52.8°, I 19.6
- hkl 2 2 1, 2θ = 42.8°, I 15.9
- hkl 2 1 0, 2θ = 29.4°, I 13.8
- hkl 0 0 2, 2θ = 35.3°, I 13.4

Atomic structure:
Cell lengths 9.2838, 9.2838, 5.0906 Å; angles 90.00, 90.00, 120.00 degrees
Space group P321 (No. 150)
Asymmetric unit:
Tl 0.0000 0.2882 0.0000 x3
Tl 0.0000 0.6256 0.5000 x3
Te 0.0000 0.0000 0.5000 x1
Te 0.3333 0.6667 0.0145 x2
O 0.0797 0.8799 0.2837 x6
O 0.1350 0.5380 0.2353 x6
O 0.2227 0.7569 0.7955 x6

Starting from a cell relaxed with GGA-PBE, the PXRD pattern of CaP2O9 was computed for Cu Kα.
Intensities are scaled so that the largest is 100.

Largest 8 diffraction maxima, most intense first, 10 to 90 degrees two-theta:
- hkl 1 1 2, 2θ = 20.6°, I 100.0
- hkl 1 1 -2, 2θ = 24.8°, I 58.9
- hkl 0 0 4, 2θ = 27.4°, I 24.9
- hkl 1 0 -2, 2θ = 23.8°, I 24.9
- hkl 0 1 2, 2θ = 20.1°, I 24.8
- hkl 1 1 -3, 2θ = 30.0°, I 24.6
- hkl 1 1 0, 2θ = 18.2°, I 21.0
- hkl 1 0 2, 2θ = 20.3°, I 18.3

Atomic structure:
Cell lengths 5.6419, 6.2914, 13.2992 Å; angles 83.46, 79.07, 66.60 degrees
Space group P-1 (No. 2)
Asymmetric unit:
Ca 0.0174 0.2586 0.4144 x2
P 0.2752 0.3675 0.1395 x2
P 0.4461 0.2917 0.5927 x2
O 0.1443 0.6296 0.1142 x2
O 0.1640 0.2415 0.0792 x2
O 0.1757 0.0709 0.7249 x2
O 0.2146 0.3159 0.2546 x2
O 0.2423 0.3206 0.5271 x2
O 0.2691 0.8536 0.4471 x2
O 0.3821 0.5058 0.6487 x2
O 0.4054 0.0724 0.6930 x2
O 0.4293 0.7265 0.9004 x2

Starting from a cell relaxed with GGA-PBE, the PXRD pattern of SrIn4 was computed for Cu Kα.
Intensities are scaled so that the largest is 100.

Largest 8 diffraction maxima, most intense first, 10 to 90 degrees two-theta:
- hkl 1 1 2, 2θ = 29.3°, I 100.0
- hkl 2 0 0, 2θ = 36.2°, I 69.8
- hkl 1 1 4, 2θ = 38.9°, I 50.9
- hkl 1 0 3, 2θ = 28.2°, I 41.4
- hkl 1 0 5, 2θ = 40.9°, I 28.8
- hkl 3 1 2, 2θ = 61.0°, I 23.9
- hkl 2 2 0, 2θ = 52.2°, I 23.8
- hkl 2 1 5, 2θ = 55.7°, I 22.6

Atomic structure:
Cell lengths 4.9572, 4.9572, 12.3341 Å; angles 90.00, 90.00, 90.00 degrees
Space group I4/mmm (No. 139)
Asymmetric unit:
Sr 0.0000 0.0000 0.0000 x2
In 0.0000 0.0000 0.3859 x4
In 0.0000 0.5000 0.2500 x4

Starting from a cell relaxed with GGA-PBE, the PXRD pattern of Sr2MgCuO2F2 was computed for Cu Kα.
Intensities are scaled so that the largest is 100.

Largest 8 diffraction maxima, most intense first, 10 to 90 degrees two-theta:
- hkl 0 0 1, 2θ = 10.9°, I 100.0
- hkl 1 1 2, 2θ = 35.4°, I 70.0
- hkl 1 1 -3, 2θ = 35.6°, I 69.4
- hkl 2 2 -1, 2θ = 44.8°, I 61.2
- hkl 0 2 0, 2θ = 31.3°, I 56.8
- hkl 1 1 0, 2θ = 22.7°, I 40.1
- hkl 0 0 3, 2θ = 33.2°, I 39.4
- hkl 1 3 2, 2θ = 58.3°, I 31.7

Atomic structure:
Cell lengths 5.7164, 5.7186, 8.5762 Å; angles 90.00, 109.10, 90.00 degrees
Space group Cm (No. 8)
Asymmetric unit:
Sr 0.0000 0.0000 0.0000 x2
Sr 0.1869 0.0000 0.3810 x2
Mg 0.2968 0.5000 0.6032 x2
Cu 0.1139 0.5000 0.2329 x2
O 0.3351 0.2500 0.1742 x4
F 0.0865 0.2495 0.6815 x4

Starting from a cell relaxed with GGA-PBE, the PXRD pattern of Li2Ti3SnO8 was computed for Cu Kα.
Intensities are scaled so that the largest is 100.

Largest 8 diffraction maxima, most intense first, 10 to 90 degrees two-theta:
- hkl 1 0 1, 2θ = 19.3°, I 100.0
- hkl 1 1 2, 2θ = 34.9°, I 54.7
- hkl 1 0 3, 2θ = 31.8°, I 40.5
- hkl 1 0 2, 2θ = 24.7°, I 30.9
- hkl 0 0 4, 2θ = 35.8°, I 30.1
- hkl 2 0 5, 2θ = 58.1°, I 29.3
- hkl 2 0 3, 2θ = 44.2°, I 27.2
- hkl 2 2 0, 2θ = 62.0°, I 24.0

Atomic structure:
Cell lengths 5.9903, 5.9903, 10.0342 Å; angles 90.00, 90.00, 120.00 degrees
Space group P6_3mc (No. 186)
Asymmetric unit:
Li 0.0000 0.0000 0.0000 x2
Li 0.3333 0.6667 0.4031 x2
Ti 0.1697 0.3395 0.7217 x6
Sn 0.3333 0.6667 0.9980 x2
O 0.0000 0.0000 0.3180 x2
O 0.0337 0.5168 0.8424 x6
O 0.1589 0.3178 0.1081 x6
O 0.3333 0.6667 0.6133 x2

Starting from a cell relaxed with GGA-PBE, the PXRD pattern of RbYP2O7 was computed for Cu Kα.
Intensities are scaled so that the largest is 100.

Largest 8 diffraction maxima, most intense first, 10 to 90 degrees two-theta:
- hkl 2 2 -1, 2θ = 28.1°, I 100.0
- hkl 1 1 2, 2θ = 28.0°, I 49.7
- hkl 1 3 0, 2θ = 26.8°, I 46.8
- hkl 0 0 2, 2θ = 20.9°, I 34.6
- hkl 1 2 1, 2θ = 23.9°, I 25.4
- hkl 1 2 -2, 2θ = 26.5°, I 20.9
- hkl 1 1 -2, 2θ = 22.5°, I 20.8
- hkl 3 5 -1, 2θ = 54.1°, I 19.1

Atomic structure:
Cell lengths 7.8783, 11.1000, 8.8224 Å; angles 90.00, 105.95, 90.00 degrees
Space group P2_1/c (No. 14)
Asymmetric unit:
Rb 0.1878 0.1779 0.0661 x4
Y 0.2352 0.5985 0.2510 x4
P 0.1282 0.6004 0.8149 x4
P 0.4337 0.6355 0.6872 x4
O 0.0051 0.5036 0.7187 x4
O 0.0757 0.7268 0.7467 x4
O 0.1431 0.5930 0.9897 x4
O 0.3239 0.5687 0.7965 x4
O 0.3315 0.6100 0.5165 x4
O 0.3845 0.0758 0.7647 x4
O 0.4478 0.7308 0.2319 x4

Starting from a cell relaxed with GGA-PBE, the PXRD pattern of RbBa4Sb3O was computed for Cu Kα.
Intensities are scaled so that the largest is 100.

Largest 8 diffraction maxima, most intense first, 10 to 90 degrees two-theta:
- hkl 2 1 3, 2θ = 27.2°, I 100.0
- hkl 3 1 0, 2θ = 31.2°, I 38.2
- hkl 2 0 4, 2θ = 29.0°, I 23.7
- hkl 2 1 9, 2θ = 54.2°, I 15.2
- hkl 5 2 3, 2θ = 57.1°, I 12.7
- hkl 0 0 6, 2θ = 32.0°, I 11.8
- hkl 3 3 4, 2θ = 47.8°, I 10.5
- hkl 3 2 3, 2θ = 39.3°, I 10.2

Atomic structure:
Cell lengths 9.0691, 9.0691, 16.7714 Å; angles 90.00, 90.00, 90.00 degrees
Space group I4/mcm (No. 140)
Asymmetric unit:
Rb 0.0000 0.0000 0.0000 x4
Ba 0.1569 0.3431 0.1544 x16
Sb 0.0000 0.0000 0.2500 x4
Sb 0.1136 0.3864 0.5000 x8
O 0.0000 0.5000 0.2500 x4